Diffraction record for FeOF. The powder X-ray diffraction pattern is simulated, not measured: it uses a PBE+U-relaxed structure and Cu Kα X-rays.
No peak broadening, texture or thermal motion is included.

Principal peaks in the range 2θ = 15–90°, by intensity:
2θ/deg, d [Å], I (rel.)
26.6, 3.350, 100
34.4, 2.607, 57
52.2, 1.754, 44
39.5, 2.284, 19
52.2, 1.751, 14
66.0, 1.415, 12
59.2, 1.561, 10
42.6, 2.120, 10

Cell and atoms:
```
data_FeOF
_space_group_name_H-M_alt 'P 1'
_space_group_IT_number 1
_cell_length_a 4.743
_cell_length_b 3.122
_cell_length_c 14.195
_cell_angle_alpha 90.00
_cell_angle_beta 90.15
_cell_angle_gamma 90.00
loop_
_space_group_symop_operation_xyz
'x,y,z'
loop_
_atom_site_label
_atom_site_type_symbol
_atom_site_fract_x
_atom_site_fract_y
_atom_site_fract_z
Fe1 Fe 0.000 0.000 0.000
Fe2 Fe 0.000 0.000 0.334
Fe3 Fe 0.422 0.500 0.168
Fe4 Fe 0.425 0.500 0.832
Fe5 Fe 0.429 0.500 0.501
Fe6 Fe 0.935 0.000 0.640
O1 O 0.156 0.500 0.394
O2 O 0.158 0.500 0.059
O3 O 0.255 0.000 0.889
O4 O 0.259 0.000 0.560
O5 O 0.265 0.000 0.227
O6 O 0.747 0.500 0.594
F1 F 0.146 0.500 0.725
F2 F 0.648 0.000 0.764
F3 F 0.653 0.000 0.425
F4 F 0.656 0.000 0.095
F5 F 0.758 0.500 0.928
F6 F 0.764 0.500 0.261
```